For Ta11Re5, a PBE-relaxed structure gives the calculated XRD peak list in this record (Cu Kα, 1.54184 Å).

Top 2 peaks for 5° ≤ 2θ ≤ 70°, in order of rising 2θ:
2θ (°)	I/Imax	(hkl)
39.41	1000	2 2 0
56.95	173	4 0 0

Structure:
abc: 6.468 6.468 6.468
angles: 90.00 90.00 90.00
Fractional positions:
Ta 0.000 0.000 0.500
Ta 0.000 0.500 0.000
Ta 0.252 0.252 0.252
Ta 0.252 0.252 0.748
Ta 0.252 0.748 0.252
Ta 0.252 0.748 0.748
Ta 0.500 0.000 0.000
Ta 0.748 0.252 0.252
Ta 0.748 0.252 0.748
Ta 0.748 0.748 0.252
Ta 0.748 0.748 0.748
Re 0.000 0.000 0.000
Re 0.000 0.500 0.500
Re 0.500 0.000 0.500
Re 0.500 0.500 0.000
Re 0.500 0.500 0.500